No. 1
Diffraction record for HfCrTc. The powder XRD pattern is theoretical, not measured: it uses a structure optimized by DFT (PBE) and Cu Kα, 1.54184 Å.

Structural model:
```
HfCrTc
1.0
-2.519 2.640 3.595
2.519 -2.640 3.595
2.519 2.640 -3.595
Hf Cr Tc
2 2 2
Cartesian
0.000 1.320 0.890
2.519 1.320 2.706
1.260 1.320 -1.798
1.260 -1.320 1.798
2.519 0.000 0.000
0.000 0.000 3.595
```

Largest 10 diffraction maxima, most intense first, 10 to 90 degrees two-theta:
Position (°2θ)	intensity
41.69	100
40.57	99
35.06	89
74.08	34
35.64	34
41.37	30
20.87	24
67.35	22
63.62	20
42.48	19

No. 2
Diffraction record for Hf2Cr2Te. The powder XRD pattern is theoretical, not measured: it uses a structure optimized by DFT (PBE) and Cu Kα, 1.54184 Å.

Structural model:
```
Hf2Cr2Te
1.0
6.654 0.000 0.000
0.000 6.654 0.000
0.000 0.000 4.133
Hf Cr Te
4 4 2
Cartesian
1.175 2.152 0.000
2.152 5.479 0.000
4.502 1.175 0.000
5.479 4.502 0.000
0.707 4.034 2.066
2.619 0.707 2.066
4.034 5.946 2.066
5.946 2.619 2.066
0.000 0.000 2.066
3.327 3.327 2.066
```

Largest 10 diffraction maxima, most intense first, 10 to 90 degrees two-theta:
Position (°2θ)	intensity
37.23	100
34.61	80
42.99	33
30.03	30
43.81	27
74.60	23
63.44	21
63.05	21
61.71	18
57.07	16

No. 3
Diffraction record for Hf3TiCr8. The powder XRD pattern is theoretical, not measured: it uses a structure optimized by DFT (PBE) and Cu Kα, 1.54184 Å.

Structural model:
```
Hf3TiCr8
1.0
5.012 0.000 0.000
-2.506 4.341 0.000
0.000 0.000 8.017
Hf Ti Cr
3 1 8
Cartesian
0.000 0.000 0.000
0.000 0.000 3.062
0.000 2.894 7.012
0.000 2.894 3.999
-1.234 2.182 1.545
1.239 0.715 5.500
1.234 2.182 1.545
0.000 4.318 1.545
2.506 1.447 3.525
2.506 1.447 7.522
3.773 0.715 5.500
2.506 2.910 5.500
```

Largest 10 diffraction maxima, most intense first, 10 to 90 degrees two-theta:
Position (°2θ)	intensity
42.54	100
39.61	93
35.83	67
43.19	54
66.93	38
73.43	26
23.30	26
30.35	25
20.46	23
69.01	23

No. 4
Diffraction record for HfZnCr3. The powder XRD pattern is theoretical, not measured: it uses a structure optimized by DFT (PBE) and Cu Kα, 1.54184 Å.

Structural model:
```
HfZnCr3
1.0
4.369 0.000 0.000
0.000 4.369 0.000
0.000 0.000 4.369
Hf Zn Cr
1 1 3
Cartesian
0.000 0.000 0.000
2.185 2.185 2.185
0.000 2.185 2.185
2.185 0.000 2.185
2.185 2.185 0.000
```

Largest 10 diffraction maxima, most intense first, 10 to 90 degrees two-theta:
Position (°2θ)	intensity
28.90	100
41.33	85
35.59	74
59.88	54
51.22	43
71.64	26
82.63	22
67.83	18
75.36	18
89.79	9

No. 5
Diffraction record for Cr2Hg. The powder XRD pattern is theoretical, not measured: it uses a structure optimized by DFT (PBE) and Cu Kα, 1.54184 Å.

Structural model:
```
Cr2Hg
1.0
5.126 -1.523 0.000
5.126 1.523 0.000
-2.215 0.000 6.179
Cr Hg
4 2
Cartesian
-0.375 0.000 1.339
1.571 0.000 5.836
6.466 0.000 0.343
8.412 0.000 4.840
2.593 0.000 2.405
5.444 0.000 3.774
```

Largest 10 diffraction maxima, most intense first, 10 to 90 degrees two-theta:
Position (°2θ)	intensity
40.80	100
40.40	94
14.33	53
32.71	50
39.59	49
38.84	48
27.01	42
28.57	27
35.07	23
41.45	21

No. 6
Diffraction record for Cr7Hg. The powder XRD pattern is theoretical, not measured: it uses a structure optimized by DFT (PBE) and Cu Kα, 1.54184 Å.

Structural model:
```
Cr7Hg
1.0
0.000 3.715 3.715
3.715 0.000 3.715
3.715 3.715 0.000
Cr Hg
7 1
Cartesian
0.000 0.000 0.000
1.857 1.857 0.000
1.857 0.000 1.857
3.715 1.857 1.857
0.000 1.857 1.857
1.857 3.715 1.857
1.857 1.857 3.715
3.715 3.715 3.715
```

Largest 10 diffraction maxima, most intense first, 10 to 90 degrees two-theta:
Position (°2θ)	intensity
42.13	100
49.04	47
20.71	38
86.99	33
71.88	28
40.26	23
23.95	21
34.13	18
53.78	10
55.30	10